1.
# Bi3P2O10
Theoretical X-ray powder pattern, λ = 1.5418 Å (Cu Kα). Input: a cell relaxed with GGA-PBE.
Peak positions follow from Bragg's law for the DFT cell and can differ from measured ones.

a b c (Å): 5.5659 6.7940 7.0648
angles (deg): 108.08 109.24 96.64
Fractional coordinates of all 15 atoms:
Bi 0.0000 0.0000 0.0000
Bi 0.2463 0.5923 0.6833
Bi 0.5829 0.8256 0.2543
P 0.2310 0.0581 0.5874
P 0.5972 0.3911 0.3429
O 0.0388 0.0293 0.3544
O 0.0673 0.9129 0.6630
O 0.1769 0.7306 0.9920
O 0.3009 0.2921 0.7443
O 0.3630 0.4883 0.3691
O 0.4740 0.9745 0.5845
O 0.4844 0.1479 0.2025
O 0.6420 0.7735 0.9429
O 0.7175 0.5068 0.2258
O 0.8081 0.4213 0.5639

Most intense lines, 10 to 90 degrees two-theta, low angle first:
Position (°2θ), d/Å, I_rel
14.14, 6.265, 79
15.95, 5.556, 54
19.60, 4.529, 39
22.06, 4.030, 68
23.66, 3.761, 36
26.62, 3.349, 100
27.31, 3.266, 68
29.62, 3.016, 64
32.40, 2.763, 40
32.79, 2.731, 33

=====

2.
# BiP2O7
Theoretical X-ray powder pattern, λ = 1.5418 Å (Cu Kα). Input: a cell relaxed with GGA-PBE.
Peak positions follow from Bragg's law for the DFT cell and can differ from measured ones.

a b c (Å): 5.2035 8.8190 7.3551
angles (deg): 90.00 109.60 90.00
Fractional coordinates of all 20 atoms:
Bi 0.2012 0.0000 0.2136
Bi 0.7988 0.5000 0.7864
P 0.2165 0.7171 0.5806
P 0.4076 0.3266 0.0406
P 0.5924 0.8266 0.9594
P 0.7835 0.2171 0.4194
O 0.0420 0.1871 0.3669
O 0.1319 0.8000 0.3872
O 0.2260 0.4683 0.0053
O 0.2448 0.1775 0.0048
O 0.3778 0.5703 0.5845
O 0.3976 0.8239 0.0768
O 0.4125 0.8358 0.7332
O 0.5875 0.3358 0.2668
O 0.6024 0.3239 0.9232
O 0.6222 0.0703 0.4155
O 0.7552 0.6775 0.9952
O 0.7740 0.9683 0.9947
O 0.8681 0.3000 0.6128
O 0.9580 0.6871 0.6331

Most intense lines, 10 to 90 degrees two-theta, low angle first:
Position (°2θ), d/Å, I_rel
16.27, 5.448, 100
18.33, 4.840, 17
20.73, 4.285, 39
25.54, 3.488, 18
27.36, 3.260, 43
27.97, 3.190, 32
32.88, 2.724, 17
33.10, 2.706, 15
40.44, 2.231, 17
42.58, 2.123, 18

=====

3.
# Bi5P6O24
Theoretical X-ray powder pattern, λ = 1.5418 Å (Cu Kα). Input: a cell relaxed with GGA-PBE.
Peak positions follow from Bragg's law for the DFT cell and can differ from measured ones.

a b c (Å): 8.9365 8.9429 8.9637
angles (deg): 108.74 110.18 108.80
Fractional coordinates of all 35 atoms:
Bi 0.0000 0.0000 0.0000
Bi 0.0207 0.0270 0.5040
Bi 0.3521 0.8088 0.1759
Bi 0.5531 0.1792 0.8458
Bi 0.6888 0.5067 0.3500
P 0.1474 0.7664 0.7255
P 0.2727 0.3613 0.9699
P 0.3951 0.2528 0.4657
P 0.6584 0.8978 0.5992
P 0.7637 0.1258 0.2278
P 0.9009 0.6369 0.1046
O 0.0951 0.6631 0.1665
O 0.1266 0.2443 0.7672
O 0.1759 0.8320 0.9234
O 0.1846 0.9335 0.6955
O 0.1964 0.3073 0.0851
O 0.2522 0.0835 0.2767
O 0.2776 0.6947 0.7014
O 0.3345 0.5617 0.0168
O 0.3708 0.4207 0.4975
O 0.3776 0.1876 0.6043
O 0.4507 0.3431 0.0119
O 0.4686 0.7624 0.4262
O 0.5869 0.9416 0.1047
O 0.5898 0.3271 0.4908
O 0.6845 0.0914 0.6701
O 0.6895 0.8480 0.7535
O 0.7138 0.2742 0.2028
O 0.7631 0.4446 0.9428
O 0.8012 0.8744 0.5394
O 0.8492 0.1655 0.4264
O 0.8694 0.6693 0.2721
O 0.8747 0.7780 0.0514
O 0.9074 0.1369 0.1658
O 0.9515 0.6058 0.5929

Most intense lines, 10 to 90 degrees two-theta, low angle first:
Position (°2θ), d/Å, I_rel
11.99, 7.380, 64
12.17, 7.272, 45
17.03, 5.205, 56
20.80, 4.271, 39
20.96, 4.238, 100
21.19, 4.192, 67
27.13, 3.286, 76
27.40, 3.255, 57
32.31, 2.771, 52
32.40, 2.763, 44

=====

4.
# Bi2P4O13
Theoretical X-ray powder pattern, λ = 1.5418 Å (Cu Kα). Input: a cell relaxed with GGA-PBE.
Peak positions follow from Bragg's law for the DFT cell and can differ from measured ones.

a b c (Å): 7.0118 7.0118 13.3908
angles (deg): 103.85 103.85 59.75
Fractional coordinates of all 38 atoms:
Bi 0.1968 0.1990 0.0589
Bi 0.1990 0.1968 0.5589
Bi 0.8010 0.8032 0.4411
Bi 0.8032 0.8010 0.9411
P 0.2627 0.2766 0.3416
P 0.2766 0.2627 0.8416
P 0.3449 0.6346 0.1364
P 0.3654 0.6551 0.3636
P 0.6346 0.3449 0.6364
P 0.6551 0.3654 0.8636
P 0.7234 0.7373 0.1584
P 0.7373 0.7234 0.6584
O 0.0667 0.4253 0.4041
O 0.0807 0.4221 0.9027
O 0.1886 0.8065 0.0658
O 0.1935 0.8114 0.4342
O 0.1939 0.2081 0.2284
O 0.2081 0.1939 0.7284
O 0.2668 0.7332 0.2500
O 0.3819 0.3973 0.1064
O 0.3973 0.3819 0.6064
O 0.3999 0.4067 0.3447
O 0.4067 0.3999 0.8447
O 0.4221 0.0807 0.4027
O 0.4253 0.0667 0.9041
O 0.5747 0.9333 0.0959
O 0.5779 0.9193 0.5973
O 0.5933 0.6001 0.1553
O 0.6001 0.5933 0.6553
O 0.6027 0.6181 0.3936
O 0.6181 0.6027 0.8936
O 0.7332 0.2668 0.7500
O 0.7919 0.8061 0.2716
O 0.8061 0.7919 0.7716
O 0.8065 0.1886 0.5658
O 0.8114 0.1935 0.9342
O 0.9193 0.5779 0.0973
O 0.9333 0.5747 0.5959

Most intense lines, 10 to 90 degrees two-theta, low angle first:
Position (°2θ), d/Å, I_rel
13.76, 6.435, 64
15.16, 5.844, 100
18.74, 4.734, 87
23.22, 3.831, 47
25.50, 3.493, 59
26.19, 3.402, 55
26.51, 3.362, 37
29.59, 3.019, 92
29.81, 2.997, 66
33.41, 2.682, 41